1.
Diffraction record for Mn4Cu5. The powder diffraction line list is computed, not measured: it uses a GGA-PBE-relaxed structure and copper Kα.

Peak list (10 most intense, 15° ≤ 2θ ≤ 90°, most intense first)
- 2.151 Å, intensity 100
- 1.841 Å, intensity 30
- 1.114 Å, intensity 20
- 1.325 Å, intensity 18
- 1.908 Å, intensity 17
- 1.143 Å, intensity 11
- 1.302 Å, intensity 9
- 5.524 Å, intensity 2
- 1.697 Å, intensity 1
- 2.577 Å, intensity 1

Crystal structure
```
data_Mn4Cu5
_cell_length_a 7.8125
_cell_length_b 7.8125
_cell_length_c 3.8159
_cell_angle_alpha 90.00
_cell_angle_beta 90.00
_cell_angle_gamma 90.00
_symmetry_space_group_name_H-M 'I 4/m m m'
_symmetry_Int_Tables_number 139
_symmetry_space_group_name_Hall '-I 4 2'
loop_
_atom_site_label
_atom_site_fract_x
_atom_site_fract_y
_atom_site_fract_z
Mn1 0.0000 0.3284 0.0000
Cu1 0.0000 0.0000 0.0000
Cu2 0.1657 0.1657 0.5000
```

2.
Diffraction record for AcTbPmHg. The powder diffraction line list is computed, not measured: it uses a GGA-PBE-relaxed structure and copper Kα.

Peak list (10 most intense, 15° ≤ 2θ ≤ 90°, most intense first)
- 2.899 Å, intensity 100
- 2.686 Å, intensity 46
- 1.589 Å, intensity 34
- 1.900 Å, intensity 17
- 1.722 Å, intensity 15
- 1.450 Å, intensity 9
- 2.243 Å, intensity 8
- 1.201 Å, intensity 8
- 1.219 Å, intensity 7
- 1.343 Å, intensity 6

Crystal structure
```
data_AcTbPmHg
_cell_length_a 3.7993
_cell_length_b 3.7993
_cell_length_c 8.9733
_cell_angle_alpha 90.00
_cell_angle_beta 90.00
_cell_angle_gamma 90.00
_symmetry_space_group_name_H-M 'P 4 m m'
_symmetry_Int_Tables_number 99
loop_
_symmetry_equiv_pos_as_xyz
'x,y,z'
'-y,x,z'
'-x,-y,z'
'y,-x,z'
'-x,y,z'
'y,x,z'
'x,-y,z'
'-y,-x,z'
loop_
_atom_site_label
_atom_site_fract_x
_atom_site_fract_y
_atom_site_fract_z
Ac1 0.0000 0.0000 0.0000
Tb1 0.5000 0.5000 0.2900
Pm1 0.5000 0.5000 0.7044
Hg1 0.0000 0.0000 0.4863
```

3.
Diffraction record for MgSc5Al. The powder diffraction line list is computed, not measured: it uses a GGA-PBE-relaxed structure and copper Kα.

Peak list (10 most intense, 15° ≤ 2θ ≤ 90°, most intense first)
- 2.435 Å, intensity 100
- 2.648 Å, intensity 84
- 2.544 Å, intensity 77
- 2.459 Å, intensity 64
- 2.445 Å, intensity 60
- 4.225 Å, intensity 36
- 2.779 Å, intensity 30
- 2.607 Å, intensity 19
- 1.829 Å, intensity 19
- 2.417 Å, intensity 17

Crystal structure
```
data_MgSc5Al
_cell_length_a 7.7221
_cell_length_b 8.4243
_cell_length_c 10.5960
_cell_angle_alpha 90.00
_cell_angle_beta 106.66
_cell_angle_gamma 90.00
_symmetry_space_group_name_H-M 'C 1 2/c 1'
_symmetry_Int_Tables_number 15
loop_
_symmetry_equiv_pos_as_xyz
'x,y,z'
'-x,-y,-z'
'-x,y,-z+1/2'
'x,-y,z+1/2'
'x+1/2,y+1/2,z'
'-x+1/2,-y+1/2,-z'
'-x+1/2,y+1/2,-z+1/2'
'x+1/2,-y+1/2,z+1/2'
loop_
_atom_site_label
_atom_site_fract_x
_atom_site_fract_y
_atom_site_fract_z
Mg1 0.0000 0.0000 0.0000
Sc1 0.0000 0.1410 0.2500
Sc2 0.1160 0.3607 0.5320
Sc3 0.2048 0.2038 0.8382
Al1 0.0000 0.4879 0.2500
```

4.
Diffraction record for BaTl2P2S7. The powder diffraction line list is computed, not measured: it uses a GGA-PBE-relaxed structure and copper Kα.

Peak list (10 most intense, 15° ≤ 2θ ≤ 90°, most intense first)
- 3.982 Å, intensity 100
- 2.660 Å, intensity 72
- 3.210 Å, intensity 68
- 3.041 Å, intensity 37
- 1.972 Å, intensity 28
- 1.853 Å, intensity 24
- 2.499 Å, intensity 21
- 2.350 Å, intensity 19
- 5.457 Å, intensity 19
- 2.538 Å, intensity 17

Crystal structure
```
data_BaTl2P2S7
_cell_length_a 6.4197
_cell_length_b 6.4197
_cell_length_c 28.5285
_cell_angle_alpha 90.00
_cell_angle_beta 90.00
_cell_angle_gamma 120.00
_symmetry_space_group_name_H-M 'R 3 2'
_symmetry_Int_Tables_number 155
_symmetry_space_group_name_Hall 'R 3 2"'
loop_
_atom_site_label
_atom_site_fract_x
_atom_site_fract_y
_atom_site_fract_z
Ba1 0.0000 0.0000 0.0000
Tl1 0.0000 0.0000 0.1827
P1 0.0000 0.0000 0.4205
S1 0.0000 0.0000 0.5000
S2 0.0015 0.4006 0.0693
```

Please write out number 1 again, unchanged.
Diffraction record for Mn4Cu5. The powder diffraction line list is computed, not measured: it uses a GGA-PBE-relaxed structure and copper Kα.

Peak list (10 most intense, 15° ≤ 2θ ≤ 90°, most intense first)
- 2.151 Å, intensity 100
- 1.841 Å, intensity 30
- 1.114 Å, intensity 20
- 1.325 Å, intensity 18
- 1.908 Å, intensity 17
- 1.143 Å, intensity 11
- 1.302 Å, intensity 9
- 5.524 Å, intensity 2
- 1.697 Å, intensity 1
- 2.577 Å, intensity 1

Crystal structure
```
data_Mn4Cu5
_cell_length_a 7.8125
_cell_length_b 7.8125
_cell_length_c 3.8159
_cell_angle_alpha 90.00
_cell_angle_beta 90.00
_cell_angle_gamma 90.00
_symmetry_space_group_name_H-M 'I 4/m m m'
_symmetry_Int_Tables_number 139
_symmetry_space_group_name_Hall '-I 4 2'
loop_
_atom_site_label
_atom_site_fract_x
_atom_site_fract_y
_atom_site_fract_z
Mn1 0.0000 0.3284 0.0000
Cu1 0.0000 0.0000 0.0000
Cu2 0.1657 0.1657 0.5000
```

Question: Which formula does entry 1 have?
Answer: Mn4Cu5